(1)
For La4Ti9Si4O30, a cell relaxed with PBE gives the theoretical X-ray powder pattern in this record (λ = 1.5418 Å (Cu Kα)).
No peak broadening, texture or thermal motion is included.

Peak list (12 most intense, 2θ from 5° to 70°, by angle)
two_theta  intensity
12.39  57
17.99  39
24.91  54
27.04  48
27.45  39
27.89  39
28.75  100
30.11  94
30.91  47
31.31  72
32.42  55
40.90  39

Structure:
```
La4Ti9Si4O30
1.0
6.8547 -2.8925 0.0000
6.8547 2.8925 0.0000
-1.3681 0.0000 14.2838
La Ti Si O
4 9 4 30
Cartesian
-0.1927 0.0000 4.4076
3.6718 0.0000 4.4802
8.6695 0.0000 9.8037
12.5340 0.0000 9.8762
3.7702 1.5276 12.7194
0.5928 0.0000 12.5968
8.5711 1.5276 1.5644
5.3718 0.0000 1.6839
6.1706 0.0000 7.1419
6.9694 0.0000 12.5999
3.7702 -1.5276 12.7194
11.7485 0.0000 1.6870
8.5711 -1.5276 1.5644
1.2856 0.0000 7.6342
3.8353 0.0000 9.6823
8.5060 0.0000 4.6016
11.0557 0.0000 6.6496
0.3388 0.0000 1.9262
3.7481 1.3798 10.5585
5.1536 1.4575 0.3531
5.1268 1.4493 3.0885
5.0478 1.5416 6.1890
1.6994 0.0000 6.0810
3.0937 0.0000 1.9009
2.5510 0.0000 8.6795
2.4361 0.0000 12.6145
7.2935 1.5416 8.0948
7.2144 1.4493 11.1953
7.1877 1.4575 13.9307
8.5932 1.3798 3.7253
5.2192 0.0000 8.8289
5.1180 0.0000 12.5808
7.2233 0.0000 1.7030
7.1221 0.0000 5.4549
3.7481 -1.3798 10.5585
5.1536 -1.4575 0.3531
5.1268 -1.4493 3.0885
5.0478 -1.5416 6.1890
9.9051 0.0000 1.6693
9.7902 0.0000 5.6043
9.2475 0.0000 12.3829
10.6419 0.0000 8.2029
7.2935 -1.5416 8.0948
7.2144 -1.4493 11.1953
7.1877 -1.4575 13.9307
8.5932 -1.3798 3.7253
12.0024 0.0000 12.3576
```

(2)
For NdAlSi2, a cell relaxed with PBE gives the theoretical X-ray powder pattern in this record (λ = 1.5418 Å (Cu Kα)).
No peak broadening, texture or thermal motion is included.

Peak list (12 most intense, 2θ from 5° to 70°, by angle)
two_theta  intensity
8.00  39
16.05  12
24.59  44
25.90  34
29.50  67
34.75  100
43.28  49
48.26  14
53.25  13
56.04  12
56.66  24
61.03  21

Structure:
```
NdAlSi2
1.0
4.1807 0.0000 0.0000
-2.0903 3.6206 0.0000
0.0000 0.0000 11.0457
Nd Al Si
2 2 4
Cartesian
0.0000 0.0000 1.9984
0.0000 0.0000 9.0472
0.0000 2.4137 6.4795
2.0904 1.2069 4.5662
0.0000 2.4137 3.9136
0.0000 2.4137 10.9888
2.0904 1.2069 0.0569
2.0904 1.2069 7.1321
```

(3)
For NdU2S5, a cell relaxed with PBE gives the theoretical X-ray powder pattern in this record (λ = 1.5418 Å (Cu Kα)).
No peak broadening, texture or thermal motion is included.

Peak list (12 most intense, 2θ from 5° to 70°, by angle)
two_theta  intensity
23.94  48
25.65  100
26.39  74
26.92  64
34.17  16
36.33  63
37.91  24
41.09  17
43.16  17
45.30  31
46.33  44
52.75  53

Structure:
```
NdU2S5
1.0
11.7861 0.0000 0.0000
0.0000 7.4339 0.0000
0.0000 0.0000 8.0093
Nd U S
4 8 20
Cartesian
2.0930 0.1784 0.0000
3.8000 3.8954 4.0046
7.9861 3.5385 0.0000
9.6930 7.2554 4.0046
0.0925 4.2738 6.0053
2.1217 0.1492 4.0179
3.7714 3.8661 0.0133
5.8005 0.5569 2.0006
5.9855 6.8770 6.0053
8.0147 3.5678 4.0179
9.6644 7.2847 0.0133
11.6936 3.1601 2.0006
0.0124 7.1323 6.0204
1.1172 4.9806 3.6424
1.1704 4.8844 0.3416
2.2064 2.4507 6.0063
2.5447 2.2325 2.0115
3.3484 5.9495 6.0161
3.6867 6.1676 2.0016
4.7227 1.1675 4.3462
4.7759 1.2637 7.6471
5.8806 3.4154 2.0158
5.9054 4.0185 6.0204
7.0102 6.1702 3.6424
7.0634 6.2664 0.3416
8.0994 1.2663 6.0063
8.4377 1.4844 2.0115
9.2414 5.2013 6.0161
9.5797 4.9832 2.0016
10.6157 2.5494 4.3462
10.6689 2.4533 7.6471
11.7737 0.3015 2.0158
```